Simulated X-ray powder pattern
Compound: LaGdZn6Sn3
Radiation: Cu Kα, 1.54184 Å
Structure: a cell relaxed with PBE

Main lines, sorted by position (2θ = 5–70°):
d (Å), I (rel.), h k l
2.920, 100, 1 1 1
2.690, 19, 2 0 1
2.616, 25, 2 1 0
2.307, 29, 3 0 0
2.232, 59, 2 1 1
2.138, 26, 0 0 2
1.920, 20, 3 1 0
1.568, 18, 3 0 2

Unit cell a=7.993 b=7.993 c=4.276 alpha=90.00 beta=90.00 gamma=120.00
Fractional coordinates of all 11 atoms:
La: 0.000 0.000 0.000
Gd: 0.667 0.333 0.000
Zn: 0.065 0.676 0.500
Zn: 0.142 0.494 0.000
Zn: 0.324 0.389 0.500
Zn: 0.352 0.858 0.000
Zn: 0.506 0.648 0.000
Zn: 0.611 0.935 0.500
Sn: 0.344 0.062 0.500
Sn: 0.719 0.656 0.500
Sn: 0.938 0.281 0.500